CdI2: simulated powder XRD pattern (CuKα), based on the PBE geometry in the Materials Project.
Intensities are scaled so that the largest is 1000.

Lattice parameters (Å, degrees): 4.3467 4.3467 51.3934 90.00 90.00 120.00
Sites, in units of the cell vectors:
1 Cd 0.0000 0.0000 0.0000
2 Cd 0.0000 0.0000 0.1428
3 Cd 0.0000 0.0000 0.4285
4 Cd 0.0000 0.0000 0.5714
5 Cd 0.6667 0.3333 0.2857
6 Cd 0.6667 0.3333 0.7143
7 Cd 0.6667 0.3333 0.8571
8 I 0.0000 0.0000 0.2521
9 I 0.0000 0.0000 0.6807
10 I 0.0000 0.0000 0.8235
11 I 0.3333 0.6667 0.0336
12 I 0.3333 0.6667 0.1764
13 I 0.3333 0.6667 0.3193
14 I 0.3333 0.6667 0.4621
15 I 0.3333 0.6667 0.6050
16 I 0.3333 0.6667 0.7478
17 I 0.3333 0.6667 0.8907
18 I 0.6667 0.3333 0.1093
19 I 0.6667 0.3333 0.3949
20 I 0.6667 0.3333 0.5378
21 I 0.6667 0.3333 0.9664

Principal peaks in the range 10° ≤ 2θ ≤ 90°, in order of rising 2θ:
| Position (°2θ) | I (rel.) |
| --- | --- |
| 12.1 | 525 |
| 26.6 | 1000 |
| 28.4 | 262 |
| 31.6 | 271 |
| 34.1 | 222 |
| 41.6 | 522 |
| 44.1 | 254 |
| 66.7 | 230 |